Al2Zn2Si3: calculated X-ray diffraction stick pattern (copper Kα), based on DFT lattice parameters and positions (PBE).
Peak positions follow from Bragg's law for the DFT cell and can differ from measured ones.

Cell: 8.2640 8.2640 8.2640 Å, 29.15 29.15 29.15°
Positions (direct):
Al1 0.0000 0.0000 0.0000
Al2 0.4910 0.4910 0.4910
Zn1 0.2399 0.2399 0.2399
Zn2 0.7564 0.7564 0.7564
Si1 0.3830 0.3830 0.3830
Si2 0.6189 0.6189 0.6189
Si3 0.8649 0.8649 0.8649

Most intense lines, 2θ from 10° to 80°, by angle:
2θ (°), I_rel
22.49, 17
25.85, 37
29.00, 39
31.18, 18
39.36, 100
43.52, 86
49.52, 12
60.11, 27
77.08, 26
79.89, 14